[1]
For Hg12SbPb16, a structure optimized by DFT (GGA-PBE) gives the simulated powder X-ray diffraction pattern in this record (copper Kα).
Peak positions follow from Bragg's law for the DFT cell and can differ from measured ones.

Principal peaks in the range 2θ from 5° to 70°, by angle:
2θ (°), d/Å, I (rel.), index
29.72, 3.006, 59, 0 0 3
30.01, 2.978, 55, 1 3 2
30.50, 2.931, 46, 0 4 2
30.70, 2.912, 53, 2 0 2
31.96, 2.801, 68, 4 2 -2
32.84, 2.727, 100, 1 5 1
33.90, 2.644, 35, 3 3 -3
34.09, 2.630, 47, 1 5 -2
34.90, 2.571, 38, 3 3 1
37.67, 2.388, 47, 3 5 -2

a = 12.2304 Å, b = 15.4384 Å, c = 10.0452 Å
α = 90.00°, β = 116.14°, γ = 90.00°
Space group Cm (No. 8)
Symmetry-distinct sites (fractional):
Hg (0.0000, 0.0000, 0.0000)
Hg (0.0149, 0.4027, 0.6525)
Hg (0.1234, 0.2995, 0.4730)
Hg (0.1722, 0.0985, 0.9192)
Hg (0.2196, 0.4027, 0.2753)
Hg (0.2206, 0.0000, 0.3458)
Hg (0.4236, 0.1740, 0.1225)
Sb (0.0075, 0.0000, 0.5183)
Pb (0.0948, 0.2908, 0.9649)
Pb (0.2311, 0.5000, 0.9732)
Pb (0.2506, 0.1218, 0.6494)
Pb (0.2776, 0.1935, 0.3132)
Pb (0.2818, 0.5000, 0.6243)
Pb (0.3158, 0.3161, 0.8477)
Pb (0.4468, 0.0000, 0.9463)
Pb (0.4508, 0.3078, 0.6166)
Pb (0.4721, 0.3720, 0.2461)
Pb (0.4844, 0.0000, 0.3287)

=====

[2]
For Hg3SbPb3, a structure optimized by DFT (GGA-PBE) gives the simulated powder X-ray diffraction pattern in this record (copper Kα).
Peak positions follow from Bragg's law for the DFT cell and can differ from measured ones.

Principal peaks in the range 2θ from 5° to 70°, by angle:
2θ (°), d/Å, I (rel.), index
20.70, 4.292, 13, 0 1 5
25.23, 3.530, 17, 1 0 7
30.10, 2.969, 55, 2 0 2
33.05, 2.711, 76, 2 0 5
35.41, 2.535, 27, 0 0 12
36.16, 2.484, 100, 0 2 7
51.79, 1.765, 26, 2 0 14
52.34, 1.748, 36, 2 2 0
64.79, 1.439, 25, 2 2 12
65.27, 1.430, 19, 4 0 7

a = 6.9913 Å, b = 6.9913 Å, c = 30.4184 Å
α = 90.00°, β = 90.00°, γ = 120.00°
Space group R-3m (No. 166, hexagonal axes)
Symmetry-distinct sites (fractional):
Hg (0.0346, 0.5173, 0.3665)
Sb (0.0000, 0.0000, 0.2006)
Pb (0.0015, 0.5008, 0.2166)